Record 1
Simulated powder XRD pattern of YTmAg2Te4 for Cu Kα, from the PBE geometry in OQMD.
Lines closer than 0.1° are merged.

Crystal structure
Cell lengths 7.0943, 7.0943, 4.6995 Å; angles 90.00, 90.00, 90.12 degrees
Element x y z (fractional)
Y 0.0000 0.0000 0.0000
Tm 0.5000 0.5000 0.3924
Ag 0.0000 0.5000 0.1962
Ag 0.5000 0.0000 0.1962
Te 0.2033 0.7967 0.4864
Te 0.3008 0.3008 0.9077
Te 0.6992 0.6992 0.9077
Te 0.7967 0.2033 0.4864

Peak list (10 most intense, 2θ from 10° to 90°, by angle)
2θ/deg	Rel. int.
26.0	100
28.1	30
31.6	48
34.1	61
35.8	65
42.5	32
42.8	47
44.8	20
51.5	14
73.8	15


Record 2
Simulated powder XRD pattern of Y2AgTe2 for Cu Kα, from the PBE geometry in OQMD.
Lines closer than 0.1° are merged.

Crystal structure
Cell lengths 7.0066, 7.0066, 7.0066 Å; angles 134.78, 134.78, 65.88 degrees
Element x y z (fractional)
Y 0.2500 0.7500 0.5000
Y 0.7500 0.2500 0.5000
Ag 0.0000 0.0000 0.0000
Te 0.3573 0.3573 0.0000
Te 0.6427 0.6427 0.0000

Peak list (10 most intense, 2θ from 10° to 90°, by angle)
2θ/deg	Rel. int.
23.3	22
27.9	53
28.2	100
33.3	84
38.7	32
44.1	58
47.7	30
52.5	30
67.0	16
73.7	21


Record 3
Simulated powder XRD pattern of Y6AgTe2 for Cu Kα, from the PBE geometry in OQMD.
Lines closer than 0.1° are merged.

Crystal structure
Cell lengths 22.1203, 4.0569, 11.5670 Å; angles 90.00, 90.00, 90.00 degrees
Element x y z (fractional)
Y 0.0158 0.2500 0.1128
Y 0.0305 0.7500 0.3810
Y 0.1087 0.2500 0.8348
Y 0.1474 0.7500 0.0789
Y 0.1584 0.2500 0.5408
Y 0.2336 0.7500 0.7564
Y 0.2664 0.2500 0.2564
Y 0.3416 0.7500 0.0408
Y 0.3526 0.2500 0.5789
Y 0.3913 0.7500 0.3348
Y 0.4695 0.2500 0.8810
Y 0.4842 0.7500 0.6128
Y 0.5158 0.2500 0.3872
Y 0.5305 0.7500 0.1190
Y 0.6087 0.2500 0.6652
Y 0.6474 0.7500 0.4211
Y 0.6584 0.2500 0.9592
Y 0.7336 0.7500 0.7436
Y 0.7664 0.2500 0.2436
Y 0.8416 0.7500 0.4592
Y 0.8526 0.2500 0.9211
Y 0.8913 0.7500 0.1652
Y 0.9695 0.2500 0.6190
Y 0.9842 0.7500 0.8872
Ag 0.0743 0.7500 0.6486
Ag 0.4257 0.2500 0.1486
Ag 0.5743 0.7500 0.8514
Ag 0.9257 0.2500 0.3514
Te 0.1274 0.2500 0.2804
Te 0.2385 0.2500 0.9703
Te 0.2615 0.7500 0.4703
Te 0.3726 0.7500 0.7804
Te 0.6274 0.2500 0.2196
Te 0.7385 0.2500 0.5297
Te 0.7615 0.7500 0.0297
Te 0.8726 0.7500 0.7196

Peak list (10 most intense, 2θ from 10° to 90°, by angle)
2θ/deg	Rel. int.
29.5	40
30.9	100
32.0	83
32.4	22
33.1	27
33.3	31
33.7	51
34.3	42
36.4	27
44.7	42


Record 4
Simulated powder XRD pattern of YAgTe2 for Cu Kα, from the PBE geometry in OQMD.
Lines closer than 0.1° are merged.

Crystal structure
Cell lengths 9.2849, 6.2394, 8.7639 Å; angles 90.00, 91.35, 90.00 degrees
Element x y z (fractional)
Y 0.1240 0.2377 0.1304
Y 0.1240 0.2623 0.6304
Y 0.8760 0.7377 0.3696
Y 0.8760 0.7623 0.8696
Ag 0.4018 0.5487 0.1211
Ag 0.4018 0.9513 0.6211
Ag 0.5982 0.0487 0.3789
Ag 0.5982 0.4513 0.8789
Te 0.1145 0.7417 0.1267
Te 0.1145 0.7583 0.6267
Te 0.3503 0.2075 0.8870
Te 0.3503 0.2925 0.3870
Te 0.6497 0.7075 0.6130
Te 0.6497 0.7925 0.1130
Te 0.8855 0.2417 0.3733
Te 0.8855 0.2583 0.8733

Peak list (10 most intense, 2θ from 10° to 90°, by angle)
2θ/deg	Rel. int.
20.0	45
24.8	78
27.7	42
28.3	42
28.6	41
35.1	45
38.8	77
40.2	97
40.7	100
41.2	58


Record 5
Simulated powder XRD pattern of TlAg15 for Cu Kα, from the PBE geometry in OQMD.
Lines closer than 0.1° are merged.

Crystal structure
Cell lengths 4.1024, 4.1036, 45.8507 Å; angles 90.00, 90.00, 90.00 degrees
Element x y z (fractional)
Tl 0.2500 0.0000 0.1475
Tl 0.7500 0.0000 0.8525
Ag 0.2500 0.0000 0.2541
Ag 0.2500 0.0000 0.3437
Ag 0.2500 0.0000 0.4329
Ag 0.2500 0.0000 0.5224
Ag 0.2500 0.0000 0.6119
Ag 0.2500 0.0000 0.6999
Ag 0.2500 0.0000 0.7913
Ag 0.2500 0.5000 0.2087
Ag 0.2500 0.5000 0.3001
Ag 0.2500 0.5000 0.3881
Ag 0.2500 0.5000 0.4776
Ag 0.2500 0.5000 0.5670
Ag 0.2500 0.5000 0.6562
Ag 0.2500 0.5000 0.7458
Ag 0.2500 0.5000 0.8348
Ag 0.7500 0.0000 0.2087
Ag 0.7500 0.0000 0.3001
Ag 0.7500 0.0000 0.3881
Ag 0.7500 0.0000 0.4776
Ag 0.7500 0.0000 0.5671
Ag 0.7500 0.0000 0.6563
Ag 0.7500 0.0000 0.7459
Ag 0.7500 0.5000 0.1652
Ag 0.7500 0.5000 0.2542
Ag 0.7500 0.5000 0.3438
Ag 0.7500 0.5000 0.4330
Ag 0.7500 0.5000 0.5224
Ag 0.7500 0.5000 0.6119
Ag 0.7500 0.5000 0.6999
Ag 0.7500 0.5000 0.7913

Peak list (10 most intense, 2θ from 10° to 90°, by angle)
2θ/deg	Rel. int.
35.6	11
37.8	100
39.0	18
43.4	13
44.2	42
63.6	15
64.2	13
77.0	23
78.2	8
80.7	7


Record 6
Simulated powder XRD pattern of TlAg15 for Cu Kα, from the PBE geometry in OQMD.
Lines closer than 0.1° are merged.

Crystal structure
Cell lengths 8.1247, 2.9225, 35.3087 Å; angles 90.00, 90.07, 90.00 degrees
Element x y z (fractional)
Tl 0.1230 0.2500 0.3308
Tl 0.8770 0.7500 0.6692
Ag 0.1235 0.2500 0.7251
Ag 0.1240 0.2500 0.8102
Ag 0.1252 0.2500 0.0632
Ag 0.1246 0.2500 0.1475
Ag 0.1250 0.2500 0.2326
Ag 0.1249 0.2500 0.9791
Ag 0.1255 0.2500 0.8948
Ag 0.3721 0.7500 0.2754
Ag 0.3733 0.7500 0.1898
Ag 0.3751 0.7500 0.0211
Ag 0.3751 0.7500 0.1053
Ag 0.3750 0.7500 0.6861
Ag 0.3752 0.7500 0.8528
Ag 0.3754 0.7500 0.9370
Ag 0.3758 0.7500 0.7690
Ag 0.6242 0.2500 0.2310
Ag 0.6246 0.2500 0.0630
Ag 0.6248 0.2500 0.1472
Ag 0.6250 0.2500 0.3139
Ag 0.6249 0.2500 0.8947
Ag 0.6249 0.2500 0.9789
Ag 0.6267 0.2500 0.8102
Ag 0.6279 0.2500 0.7246
Ag 0.8745 0.7500 0.1052
Ag 0.8751 0.7500 0.0209
Ag 0.8750 0.7500 0.7674
Ag 0.8754 0.7500 0.8525
Ag 0.8748 0.7500 0.9368
Ag 0.8760 0.7500 0.1898
Ag 0.8765 0.7500 0.2749

Peak list (10 most intense, 2θ from 10° to 90°, by angle)
2θ/deg	Rel. int.
35.6	34
37.8	66
37.9	100
41.8	21
43.7	43
44.6	32
62.8	12
64.2	13
64.2	13
77.7	13